# 1
Calculated powder XRD pattern of Ba2Si3Ni for Cu Kα (weighted mean of Kα1 and Kα2), from the PBE geometry in the Materials Project.
Intensities are scaled so that the largest is 100.

Top 10 peaks for 2θ = 10–90°, by angle:
two_theta  d_spacing  I (rel.)  h k l
22.7  3.923  40  0 0 1
23.7  3.751  30  2 1 0
27.0  3.308  89  3 0 0
27.6  3.237  25  1 1 1
32.5  2.753  27  3 1 0
33.0  2.711  52  2 1 1
35.5  2.529  100  3 0 1
54.2  1.692  33  4 2 1
54.4  1.687  24  3 0 2
56.7  1.623  20  5 1 1

Structure:
Cell: 11.461 11.461 3.923 Å, 90.00 90.00 120.00°
Fractional coordinates of all 18 atoms:
Ba1 0.000 0.287 0.000
Ba2 0.000 0.618 0.000
Ba3 0.287 0.000 0.000
Ba4 0.382 0.382 0.000
Ba5 0.618 0.000 0.000
Ba6 0.713 0.713 0.000
Si1 0.000 0.877 0.500
Si2 0.123 0.123 0.500
Si3 0.220 0.537 0.500
Si4 0.316 0.780 0.500
Si5 0.463 0.684 0.500
Si6 0.537 0.220 0.500
Si7 0.684 0.463 0.500
Si8 0.780 0.316 0.500
Si9 0.877 0.000 0.500
Ni1 0.000 0.000 0.000
Ni2 0.333 0.667 0.000
Ni3 0.667 0.333 0.000


# 2
Calculated powder XRD pattern of Sr2DyNbO6 for Cu Kα (weighted mean of Kα1 and Kα2), from the PBE geometry in the Materials Project.
Intensities are scaled so that the largest is 100.

Top 10 peaks for 2θ = 10–90°, by angle:
two_theta  d_spacing  I (rel.)  h k l
18.3  4.838  4  1 1 1
21.2  4.190  9  2 0 0
30.2  2.963  100  2 2 0
35.5  2.526  4  3 1 1
43.2  2.095  29  4 0 0
53.6  1.710  44  4 2 2
62.7  1.481  17  4 4 0
71.2  1.325  18  6 2 0
79.2  1.209  5  4 4 4
87.0  1.120  23  6 2 4

Structure:
Cell: 8.379 8.379 8.379 Å, 90.00 90.00 90.00°
Fractional coordinates of all 40 atoms:
Sr1 0.250 0.250 0.250
Sr2 0.250 0.250 0.750
Sr3 0.250 0.750 0.250
Sr4 0.250 0.750 0.750
Sr5 0.750 0.250 0.250
Sr6 0.750 0.250 0.750
Sr7 0.750 0.750 0.250
Sr8 0.750 0.750 0.750
Dy1 0.000 0.000 0.000
Dy2 0.000 0.500 0.500
Dy3 0.500 0.000 0.500
Dy4 0.500 0.500 0.000
Nb1 0.000 0.000 0.500
Nb2 0.000 0.500 0.000
Nb3 0.500 0.000 0.000
Nb4 0.500 0.500 0.500
O1 0.032 0.540 0.764
O2 0.032 0.960 0.736
O3 0.040 0.236 0.532
O4 0.040 0.264 0.968
O5 0.236 0.532 0.040
O6 0.236 0.968 0.460
O7 0.264 0.532 0.460
O8 0.264 0.968 0.040
O9 0.460 0.236 0.968
O10 0.460 0.264 0.532
O11 0.468 0.540 0.736
O12 0.468 0.960 0.764
O13 0.532 0.040 0.236
O14 0.532 0.460 0.264
O15 0.540 0.736 0.468
O16 0.540 0.764 0.032
O17 0.736 0.032 0.960
O18 0.736 0.468 0.540
O19 0.764 0.032 0.540
O20 0.764 0.468 0.960
O21 0.960 0.736 0.032
O22 0.960 0.764 0.468
O23 0.968 0.040 0.264
O24 0.968 0.460 0.236